This entry pairs a crystal structure of Cs3H7Ru with its computed X-ray powder pattern. Radiation: Cu Kα (λ = 1.5418 Å). Structure: a DFT-relaxed cell (GGA-PBE, Alexandria).

Cell and atoms:
```
data_Cs3H7Ru
_cell_length_a 8.8942
_cell_length_b 9.0228
_cell_length_c 6.5634
_cell_angle_alpha 90.00
_cell_angle_beta 132.53
_cell_angle_gamma 90.00
_symmetry_space_group_name_H-M 'C 1 m 1'
_symmetry_Int_Tables_number 8
_symmetry_space_group_name_Hall 'C -2y'
loop_
_atom_site_label
_atom_site_fract_x
_atom_site_fract_y
_atom_site_fract_z
_atom_site_occupancy
Cs1 0.0000 0.0000 0.0000 1
Cs2 0.4906 0.2498 0.4993 1
H1 0.0390 0.3210 0.0005 1
H2 0.1668 0.5000 0.3598 1
H3 0.1766 0.5000 0.9996 1
H4 0.3081 0.0000 0.6394 1
H5 0.3328 0.1039 0.9989 1
Ru1 0.4868 0.0000 0.9996 1
```

Most intense lines, 2θ from 10° to 90°, in order of rising 2θ:
hkl 0 2 1, 27.03 deg, d 3.299, rel. 100
hkl 2 0 0, 27.24 deg, d 3.274, rel. 98
hkl 2 2 -1, 28.18 deg, d 3.167, rel. 90
hkl 2 2 1, 47.29 deg, d 1.922, rel. 42
hkl 2 4 0, 49.04 deg, d 1.857, rel. 38
hkl 4 2 -1, 49.43 deg, d 1.844, rel. 36

This entry pairs a crystal structure of GaPd4 with its computed X-ray powder pattern. Radiation: Cu Kα (λ = 1.5418 Å). Structure: a DFT-relaxed cell (GGA-PBE, Alexandria).

Cell and atoms:
```
data_GaPd4
_cell_length_a 9.6230
_cell_length_b 13.2510
_cell_length_c 4.8169
_cell_angle_alpha 90.00
_cell_angle_beta 90.00
_cell_angle_gamma 90.00
_symmetry_space_group_name_H-M 'F d d 2'
_symmetry_Int_Tables_number 43
_symmetry_space_group_name_Hall 'F 2 -2d'
loop_
_atom_site_label
_atom_site_fract_x
_atom_site_fract_y
_atom_site_fract_z
_atom_site_occupancy
Ga1 0.0000 0.0000 0.0000 1
Pd1 0.0330 0.1976 0.9669 1
Pd2 0.0369 0.0976 0.4714 1
```

Most intense lines, 2θ from 10° to 90°, in order of rising 2θ:
hkl 4 0 0, 37.38 deg, d 2.406, rel. 30
hkl 3 3 1, 39.44 deg, d 2.285, rel. 21
hkl 4 2 0, 39.86 deg, d 2.261, rel. 29
hkl 1 5 1, 39.94 deg, d 2.257, rel. 100
hkl 2 0 2, 41.95 deg, d 2.154, rel. 76
hkl 3 5 1, 48.39 deg, d 1.881, rel. 40

This entry pairs a crystal structure of ScNb2Co2 with its computed X-ray powder pattern. Radiation: Cu Kα (λ = 1.5418 Å). Structure: a DFT-relaxed cell (GGA-PBE, Alexandria).

Cell and atoms:
```
data_ScNb2Co2
_cell_length_a 7.5661
_cell_length_b 7.5661
_cell_length_c 2.7695
_cell_angle_alpha 90.00
_cell_angle_beta 90.00
_cell_angle_gamma 90.00
_symmetry_space_group_name_H-M 'P 4/m b m'
_symmetry_Int_Tables_number 127
_symmetry_space_group_name_Hall '-P 4 2ab'
loop_
_atom_site_label
_atom_site_fract_x
_atom_site_fract_y
_atom_site_fract_z
_atom_site_occupancy
Sc1 0.0000 0.0000 0.0000 1
Nb1 0.1470 0.3530 0.0000 1
Co1 0.1469 0.6469 0.5000 1
```

Most intense lines, 2θ from 10° to 90°, in order of rising 2θ:
hkl 1 1 0, 16.57 deg, d 5.350, rel. 23
hkl 3 1 0, 37.59 deg, d 2.393, rel. 59
hkl 2 1 1, 42.16 deg, d 2.143, rel. 100
hkl 4 0 0, 48.10 deg, d 1.892, rel. 15
hkl 3 3 0, 51.23 deg, d 1.783, rel. 13
hkl 5 2 1, 75.94 deg, d 1.253, rel. 25

> Which formula does entry 2 have?

GaPd4

> Number 1 is which compound?

Cs3H7Ru